# Pr7YEr4
Simulated PXRD pattern, Cu Kα (λ = 1.5418 Å). Input: DFT lattice parameters and positions (PBE).
No peak broadening, texture or thermal motion is included.

Principal peaks in the range 2θ from 10° to 90°, in order of falling intensity:
2θ 31.3, I 100.0; 2θ 32.9, I 90.6; 2θ 30.5, I 51.6; 2θ 28.3, I 33.5; 2θ 59.5, I 30.9; 2θ 49.7, I 26.6; 2θ 28.9, I 23.5; 2θ 53.6, I 21.0; 2θ 56.9, I 19.5; 2θ 49.8, I 13.2; 2θ 39.4, I 12.3; 2θ 44.7, I 10.6

Structure:
```
Pr7YEr4
1.0
6.3645 0.0000 0.0000
-0.0030 7.3282 0.0000
-2.1128 -0.0076 8.7817
Pr Y Er
7 1 4
Cartesian
0.0000 0.0000 0.0000
0.0069 3.6586 5.8421
1.0808 5.5024 2.9543
3.1709 1.8003 0.0282
1.0779 5.5202 8.7535
3.1679 1.8182 5.8274
4.2418 3.6620 2.9396
-0.0015 3.6641 0.0000
-0.0121 -0.0050 5.8316
1.0552 1.7987 2.9261
3.1936 5.5218 5.8556
4.2609 7.3256 2.9501
```

---

# Pr16Y6Er7
Simulated PXRD pattern, Cu Kα (λ = 1.5418 Å). Input: DFT lattice parameters and positions (PBE).
No peak broadening, texture or thermal motion is included.

Principal peaks in the range 2θ from 10° to 90°, in order of falling intensity:
2θ 31.5, I 100.0; 2θ 56.0, I 27.1; 2θ 45.1, I 14.3; 2θ 28.9, I 8.8; 2θ 74.7, I 7.5; 2θ 65.7, I 7.5; 2θ 33.0, I 7.3; 2θ 19.1, I 6.0; 2θ 37.1, I 5.8; 2θ 43.2, I 5.0; 2θ 51.8, I 4.8; 2θ 57.0, I 4.6

Structure:
```
Pr16Y6Er7
1.0
0.0000 8.0385 8.0385
8.0385 0.0000 8.0385
8.0385 8.0385 0.0000
Pr Y Er
16 6 7
Cartesian
10.4474 5.6296 5.6296
2.0003 2.0003 2.0003
6.0382 6.0382 2.0003
6.0382 2.0003 6.0382
5.6296 5.6296 5.6296
10.4474 10.4474 5.6296
10.4474 5.6296 10.4474
14.0767 10.0388 10.0388
2.0003 6.0382 6.0382
5.6296 10.4474 5.6296
5.6296 5.6296 10.4474
10.4474 10.4474 10.4474
10.0388 14.0767 10.0388
10.0388 10.0388 14.0767
14.0767 14.0767 14.0767
5.6296 10.4474 10.4474
8.0385 8.0385 4.3119
8.0385 4.3119 8.0385
11.7651 8.0385 8.0385
4.3119 8.0385 8.0385
8.0385 11.7651 8.0385
8.0385 8.0385 11.7651
0.0000 0.0000 0.0000
4.0192 4.0192 0.0000
4.0192 0.0000 4.0192
8.0385 4.0192 4.0192
0.0000 4.0192 4.0192
4.0192 8.0385 4.0192
4.0192 4.0192 8.0385
```

---

# Pr14YEr
Simulated PXRD pattern, Cu Kα (λ = 1.5418 Å). Input: DFT lattice parameters and positions (PBE).
No peak broadening, texture or thermal motion is included.

Principal peaks in the range 2θ from 10° to 90°, in order of falling intensity:
2θ 29.6, I 100.0; 2θ 34.3, I 50.7; 2θ 58.6, I 43.3; 2θ 49.3, I 36.4; 2θ 80.1, I 17.5; 2θ 82.6, I 16.2; 2θ 61.5, I 12.5; 2θ 72.4, I 5.7; 2θ 14.7, I 0.5

Structure:
```
Pr14YEr
1.0
7.3853 0.0000 0.0000
0.0000 7.3853 0.0000
0.0000 0.0000 10.4505
Pr Y Er
14 1 1
Cartesian
0.0000 0.0000 0.0000
0.0000 3.6926 0.0000
0.0000 3.6926 5.2253
1.8422 1.8422 2.6388
1.8422 1.8422 7.8117
1.8422 5.5431 2.6388
1.8422 5.5431 7.8117
3.6926 0.0000 0.0000
3.6926 0.0000 5.2253
3.6926 3.6926 0.0000
5.5431 1.8422 2.6388
5.5431 1.8422 7.8117
5.5431 5.5431 2.6388
5.5431 5.5431 7.8117
3.6926 3.6926 5.2253
0.0000 0.0000 5.2253
```

---

# Pr2Y6Er
Simulated PXRD pattern, Cu Kα (λ = 1.5418 Å). Input: DFT lattice parameters and positions (PBE).
No peak broadening, texture or thermal motion is included.

Principal peaks in the range 2θ from 10° to 90°, in order of falling intensity:
2θ 31.1, I 100.0; 2θ 30.7, I 56.2; 2θ 31.9, I 45.2; 2θ 32.9, I 34.1; 2θ 33.3, I 31.0; 2θ 28.4, I 28.6; 2θ 30.9, I 22.7; 2θ 34.2, I 20.4; 2θ 28.8, I 19.6; 2θ 41.5, I 15.9; 2θ 22.1, I 14.9; 2θ 58.9, I 12.7

Structure:
```
Pr2Y6Er
1.0
6.4629 -7.2040 0.0000
6.4629 7.2040 0.0000
-1.5687 0.0000 6.4262
Pr Y Er
4 12 2
Cartesian
1.2456 0.3642 2.4068
0.4612 -0.3642 5.6199
10.8959 0.3642 0.8063
10.1116 -0.3642 4.0194
1.9748 2.8755 4.6809
4.4364 4.4769 6.3951
6.1365 4.4769 3.2442
4.4513 1.2870 1.2168
2.7591 -2.8755 1.4678
3.6669 -1.2870 4.4299
7.6902 1.2870 1.9963
8.5980 2.8755 4.9584
6.9059 -1.2870 5.2094
5.2207 -4.4769 3.1820
6.9208 -4.4769 0.0311
9.3824 -2.8755 1.7453
5.2864 1.6773 4.8197
6.0708 -1.6773 1.6066
```

---

# Pr3Y2Er6
Simulated PXRD pattern, Cu Kα (λ = 1.5418 Å). Input: DFT lattice parameters and positions (PBE).
No peak broadening, texture or thermal motion is included.

Principal peaks in the range 2θ from 10° to 90°, in order of falling intensity:
2θ 30.7, I 100.0; 2θ 35.8, I 66.4; 2θ 31.3, I 31.5; 2θ 51.1, I 24.2; 2θ 51.9, I 22.8; 2θ 61.2, I 18.6; 2θ 64.0, I 12.2; 2θ 60.8, I 9.5; 2θ 15.5, I 9.4; 2θ 61.3, I 9.3; 2θ 61.9, I 8.9; 2θ 83.5, I 7.8

Structure:
```
Pr3Y2Er6
1.0
3.0902 -5.3627 0.0000
3.0902 5.3627 0.0000
-2.0844 0.0000 11.4222
Pr Y Er
3 2 6
Cartesian
0.0000 0.0000 0.0000
3.0902 1.7653 0.0000
3.0902 -1.7653 0.0000
2.0480 3.5808 5.7111
2.0480 -3.5808 5.7111
1.0264 1.7846 2.9034
-0.0159 0.0000 8.5250
1.0264 -1.7846 2.9034
3.0696 1.7846 8.5189
4.1119 0.0000 2.8972
3.0696 -1.7846 8.5189
```

---

# Pr2Y5Er12
Simulated PXRD pattern, Cu Kα (λ = 1.5418 Å). Input: DFT lattice parameters and positions (PBE).
No peak broadening, texture or thermal motion is included.

Principal peaks in the range 2θ from 10° to 90°, in order of falling intensity:
2θ 35.8, I 100.0; 2θ 30.9, I 99.2; 2θ 30.9, I 98.7; 2θ 61.3, I 55.7; 2θ 51.5, I 47.3; 2θ 61.2, I 28.0; 2θ 51.6, I 23.5; 2θ 64.4, I 18.1; 2θ 84.2, I 17.4; 2θ 86.9, I 13.5; 2θ 84.1, I 11.6; 2θ 86.8, I 10.9

Structure:
```
Pr2Y5Er12
1.0
6.1412 0.0000 0.0000
-0.0144 9.3922 0.0000
-1.0255 -2.0266 10.3888
Pr Y Er
2 5 12
Cartesian
0.0063 2.0072 4.9117
5.0951 5.3584 5.4772
1.0169 8.0452 4.3572
2.0333 3.3591 0.5439
3.0706 0.0000 0.0000
3.0680 4.0065 9.8449
4.0844 -0.6796 6.0316
-0.0096 0.6643 1.6218
-0.0084 3.3379 8.2168
1.0073 6.7105 1.0808
1.0229 -0.0093 7.6767
2.0452 4.7007 3.8107
2.0271 6.0298 7.1239
3.0743 1.3358 3.2650
3.0561 2.6649 6.5781
4.0785 7.3749 2.7121
4.0941 0.6551 9.3081
5.1097 4.0277 2.1720
5.1109 6.7013 8.7670
```

---

# Pr3YEr4
Simulated PXRD pattern, Cu Kα (λ = 1.5418 Å). Input: DFT lattice parameters and positions (PBE).
No peak broadening, texture or thermal motion is included.

Principal peaks in the range 2θ from 10° to 90°, in order of falling intensity:
2θ 30.5, I 100.0; 2θ 35.3, I 50.6; 2θ 50.8, I 36.1; 2θ 60.5, I 28.5; 2θ 82.8, I 14.7; 2θ 60.3, I 14.3; 2θ 63.4, I 12.3; 2θ 85.5, I 10.9; 2θ 85.3, I 5.5; 2θ 74.8, I 3.8; 2θ 82.9, I 2.9; 2θ 19.5, I 1.9

Structure:
```
Pr3YEr4
1.0
10.1786 0.0000 0.0000
0.0000 7.1815 0.0000
0.0000 0.0000 7.1784
Pr Y Er
6 2 8
Cartesian
0.0000 0.0000 0.0000
2.5447 1.8087 1.7946
2.5447 5.3728 5.3838
5.0893 0.0000 3.5892
7.6340 1.8087 1.7946
7.6340 5.3728 5.3838
0.0000 3.5908 3.5892
5.0893 3.5908 0.0000
0.0000 0.0000 3.5892
0.0000 3.5908 0.0000
2.5447 1.7939 5.3838
2.5447 5.3876 1.7946
5.0893 0.0000 0.0000
5.0893 3.5908 3.5892
7.6340 1.7939 5.3838
7.6340 5.3876 1.7946
```

---

# Pr10YEr4
Simulated PXRD pattern, Cu Kα (λ = 1.5418 Å). Input: DFT lattice parameters and positions (PBE).
No peak broadening, texture or thermal motion is included.

Principal peaks in the range 2θ from 10° to 90°, in order of falling intensity:
2θ 31.6, I 100.0; 2θ 27.9, I 85.6; 2θ 26.1, I 30.5; 2θ 32.5, I 29.2; 2θ 39.9, I 27.1; 2θ 40.7, I 24.9; 2θ 58.5, I 21.4; 2θ 29.9, I 20.9; 2θ 27.7, I 17.5; 2θ 44.6, I 15.0; 2θ 33.0, I 13.1; 2θ 49.2, I 12.5

Structure:
```
Pr10YEr4
1.0
-5.0542 5.0542 5.4405
5.0542 -5.0542 5.4405
5.0542 5.0542 -5.4405
Pr Y Er
10 1 4
Cartesian
7.8036 -1.2163 1.8070
3.8379 -2.7494 3.6335
5.0542 0.0000 2.7203
2.3047 1.2163 1.8070
-1.2163 2.3047 1.8070
6.2705 2.7494 3.6335
2.7494 3.8379 3.6335
0.0000 5.0542 2.7203
1.2163 7.8036 1.8070
-2.7494 6.2705 3.6335
0.0000 0.0000 0.0000
5.6018 2.2601 0.0000
2.2601 4.5066 0.0000
2.7941 0.5476 5.4405
-0.5476 2.7941 5.4405
```

---

# Pr8Y4Er
Simulated PXRD pattern, Cu Kα (λ = 1.5418 Å). Input: DFT lattice parameters and positions (PBE).
No peak broadening, texture or thermal motion is included.

Principal peaks in the range 2θ from 10° to 90°, in order of falling intensity:
2θ 30.7, I 100.0; 2θ 37.4, I 31.5; 2θ 49.7, I 29.9; 2θ 32.0, I 26.3; 2θ 27.2, I 22.0; 2θ 28.8, I 15.6; 2θ 33.5, I 14.9; 2θ 57.6, I 14.1; 2θ 59.6, I 13.5; 2θ 30.4, I 12.0; 2θ 25.9, I 11.5; 2θ 49.4, I 10.7

Structure:
```
Pr8Y4Er
1.0
3.6656 2.1163 9.8257
-3.6656 2.1163 9.8257
0.0000 -4.2327 9.8257
Pr Y Er
8 4 1
Cartesian
-1.9887 -1.1482 16.7998
0.0000 0.0000 6.2486
0.0000 -2.2964 12.6773
-1.9887 1.1482 12.6773
1.9887 -1.1482 16.7998
0.0000 2.2964 16.7998
0.0000 0.0000 23.2284
1.9887 1.1482 12.6773
0.0000 0.0000 0.0000
-1.8328 -1.0582 9.8257
-1.8328 1.0582 19.6514
0.0000 2.1163 9.8257
0.0000 0.0000 14.7385
```

---

# Pr3Y2Er5
Simulated PXRD pattern, Cu Kα (λ = 1.5418 Å). Input: DFT lattice parameters and positions (PBE).
No peak broadening, texture or thermal motion is included.

Principal peaks in the range 2θ from 10° to 90°, in order of falling intensity:
2θ 30.2, I 100.0; 2θ 30.5, I 82.0; 2θ 33.5, I 41.2; 2θ 66.6, I 17.6; 2θ 49.0, I 17.4; 2θ 22.8, I 17.4; 2θ 65.6, I 16.7; 2θ 32.1, I 16.4; 2θ 57.8, I 16.1; 2θ 35.7, I 14.1; 2θ 58.0, I 13.2; 2θ 38.4, I 12.7

Structure:
```
Pr3Y2Er5
1.0
5.3522 -7.9758 0.0000
5.3522 7.9758 0.0000
-5.3353 0.0000 7.8120
Pr Y Er
6 4 10
Cartesian
1.3174 1.9763 0.3633
1.3507 4.2505 5.8590
-1.3503 -1.9763 4.2694
6.7193 1.9763 3.5427
4.0184 -4.2505 1.9530
4.0517 -1.9763 7.4487
1.3321 1.8651 3.5382
-1.3355 -1.8651 7.4442
6.7046 1.8651 0.3679
4.0369 -1.8651 4.2739
1.3507 7.5686 5.8590
-1.3225 1.7946 5.9740
4.0184 3.6490 1.9530
1.3452 -1.7946 2.0679
4.0184 0.4643 1.9530
1.3507 -0.4643 5.8590
4.0239 1.7946 5.7441
1.3507 -3.6490 5.8590
6.6915 -1.7946 1.8381
4.0184 -7.5686 1.9530
```

---

# Pr7YEr3
Simulated PXRD pattern, Cu Kα (λ = 1.5418 Å). Input: DFT lattice parameters and positions (PBE).
No peak broadening, texture or thermal motion is included.

Principal peaks in the range 2θ from 10° to 90°, in order of falling intensity:
2θ 31.4, I 100.0; 2θ 31.1, I 55.2; 2θ 30.8, I 52.8; 2θ 30.4, I 41.6; 2θ 29.6, I 35.6; 2θ 33.5, I 21.6; 2θ 32.3, I 15.3; 2θ 62.6, I 14.0; 2θ 45.3, I 13.9; 2θ 42.3, I 13.6; 2θ 54.3, I 11.7; 2θ 56.3, I 10.9

Structure:
```
Pr7YEr3
1.0
6.9155 0.0000 0.0000
-3.0127 9.7010 0.0000
-2.3471 -2.8775 11.3748
Pr Y Er
14 2 6
Cartesian
0.0000 0.0000 0.0000
-3.6753 4.9024 7.8175
-0.8636 0.7375 3.7900
-3.4010 3.4577 10.8983
0.0869 -1.1739 7.3255
-0.1129 4.5538 2.5312
-1.1427 6.1991 5.7230
0.7820 3.4080 5.6810
2.4574 1.4949 2.1329
-0.0830 4.1554 9.4711
2.7362 0.0433 5.2123
3.2080 5.1194 1.6354
3.6817 -1.7376 8.2217
4.9906 2.7899 0.0369
-1.7970 1.6974 7.4296
1.3235 7.9883 1.7459
-1.9880 7.7969 2.6979
-0.8738 0.4085 10.4872
-2.0723 6.8878 10.3264
1.8048 1.5078 8.3849
2.2541 6.6943 4.8016
4.0691 3.4750 4.6361
```